[1]
Structure and computed powder XRD pattern of Er2CrS4 (DFT lattice parameters and positions (PBE); copper Kα).
No peak broadening, texture or thermal motion is included.

Largest 10 diffraction maxima, low angle first, 2θ from 10° to 90°:
- 25.7 deg, d 3.468, I = 100
- 26.0 deg, d 3.427, I = 35
- 28.6 deg, d 3.118, I = 26
- 28.8 deg, d 3.097, I = 33
- 33.1 deg, d 2.706, I = 64
- 35.4 deg, d 2.534, I = 56
- 44.2 deg, d 2.049, I = 35
- 46.2 deg, d 1.966, I = 23
- 49.0 deg, d 1.859, I = 64
- 56.1 deg, d 1.639, I = 23

Cell and atoms:
abc: 12.471 7.437 12.519
angles: 90.00 90.00 90.00
Positions (direct):
Er 0.107 0.114 0.000
Er 0.129 0.616 0.639
Er 0.133 0.371 0.306
Er 0.134 0.871 0.304
Er 0.366 0.871 0.804
Er 0.367 0.371 0.806
Er 0.371 0.616 0.139
Er 0.393 0.114 0.500
Er 0.607 0.886 0.000
Er 0.629 0.384 0.639
Er 0.633 0.629 0.306
Er 0.634 0.129 0.304
Er 0.866 0.129 0.804
Er 0.867 0.629 0.806
Er 0.871 0.384 0.139
Er 0.893 0.886 0.500
Cr 0.109 0.619 0.007
Cr 0.128 0.121 0.637
Cr 0.372 0.121 0.137
Cr 0.391 0.619 0.507
Cr 0.609 0.381 0.007
Cr 0.628 0.879 0.637
Cr 0.872 0.879 0.137
Cr 0.891 0.381 0.507
S 0.008 0.118 0.193
S 0.023 0.628 0.181
S 0.030 0.617 0.444
S 0.049 0.126 0.454
S 0.210 0.121 0.812
S 0.211 0.620 0.837
S 0.229 0.865 0.087
S 0.233 0.361 0.091
S 0.267 0.361 0.591
S 0.271 0.865 0.587
S 0.289 0.620 0.337
S 0.290 0.121 0.312
S 0.451 0.126 0.954
S 0.470 0.617 0.944
S 0.477 0.628 0.681
S 0.492 0.118 0.693
S 0.508 0.882 0.193
S 0.523 0.372 0.181
S 0.530 0.383 0.444
S 0.549 0.874 0.454
S 0.710 0.879 0.812
S 0.711 0.380 0.837
S 0.729 0.135 0.087
S 0.733 0.639 0.091
S 0.767 0.639 0.591
S 0.771 0.135 0.587
S 0.789 0.380 0.337
S 0.790 0.879 0.312
S 0.951 0.874 0.954
S 0.970 0.383 0.944
S 0.977 0.372 0.681
S 0.992 0.882 0.693

=====

[2]
Structure and computed powder XRD pattern of HoAl2Te4 (DFT lattice parameters and positions (PBE); copper Kα).
No peak broadening, texture or thermal motion is included.

Largest 10 diffraction maxima, low angle first, 2θ from 10° to 90°:
- 16.7 deg, d 5.296, I = 21
- 25.7 deg, d 3.465, I = 33
- 27.5 deg, d 3.245, I = 100
- 30.8 deg, d 2.903, I = 18
- 34.5 deg, d 2.597, I = 18
- 43.6 deg, d 2.078, I = 34
- 46.4 deg, d 1.955, I = 24
- 47.5 deg, d 1.914, I = 27
- 61.5 deg, d 1.508, I = 12
- 72.4 deg, d 1.305, I = 13

Cell and atoms:
abc: 6.762 6.762 6.762
angles: 105.22 105.22 118.35
Positions (direct):
Ho 0.000 0.000 0.000
Al 0.250 0.750 0.500
Al 0.750 0.250 0.500
Te 0.183 0.331 0.514
Te 0.331 0.817 0.147
Te 0.669 0.183 0.853
Te 0.817 0.669 0.486

=====

[3]
Structure and computed powder XRD pattern of Tb2PrNd5Y (DFT lattice parameters and positions (PBE); copper Kα).
No peak broadening, texture or thermal motion is included.

Largest 10 diffraction maxima, low angle first, 2θ from 10° to 90°:
- 27.3 deg, d 3.269, I = 17
- 29.7 deg, d 3.007, I = 39
- 31.3 deg, d 2.855, I = 38
- 31.5 deg, d 2.838, I = 100
- 33.3 deg, d 2.693, I = 13
- 42.0 deg, d 2.150, I = 11
- 50.0 deg, d 1.825, I = 11
- 55.9 deg, d 1.645, I = 20
- 57.9 deg, d 1.594, I = 13
- 60.2 deg, d 1.537, I = 13

Cell and atoms:
abc: 10.682 10.682 10.773
angles: 90.00 90.00 149.00
Positions (direct):
Tb 0.111 0.889 0.500
Tb 0.116 0.884 0.082
Tb 0.884 0.116 0.582
Tb 0.889 0.111 0.000
Pr 0.202 0.798 0.774
Pr 0.798 0.202 0.274
Nd 0.016 0.984 0.786
Nd 0.280 0.720 0.073
Nd 0.297 0.703 0.468
Nd 0.392 0.608 0.790
Nd 0.479 0.521 0.507
Nd 0.521 0.479 0.007
Nd 0.608 0.392 0.290
Nd 0.703 0.297 0.968
Nd 0.720 0.280 0.573
Nd 0.984 0.016 0.286
Y 0.410 0.590 0.221
Y 0.590 0.410 0.721

=====

[4]
Structure and computed powder XRD pattern of PaTl2Hg2O6 (DFT lattice parameters and positions (PBE); copper Kα).
No peak broadening, texture or thermal motion is included.

Largest 10 diffraction maxima, low angle first, 2θ from 10° to 90°:
- 26.9 deg, d 3.314, I = 100
- 28.0 deg, d 3.182, I = 80
- 29.5 deg, d 3.027, I = 42
- 32.8 deg, d 2.732, I = 16
- 33.1 deg, d 2.706, I = 23
- 34.0 deg, d 2.636, I = 15
- 44.7 deg, d 2.028, I = 18
- 44.9 deg, d 2.017, I = 26
- 50.8 deg, d 1.798, I = 18
- 51.5 deg, d 1.776, I = 17

Cell and atoms:
abc: 6.692 6.692 8.429
angles: 127.14 127.14 53.79
Positions (direct):
Pa 0.000 0.000 0.000
Tl 0.379 0.379 0.550
Tl 0.621 0.621 0.450
Hg 0.254 0.254 0.832
Hg 0.746 0.746 0.168
O 0.099 0.589 0.742
O 0.131 0.131 0.921
O 0.411 0.901 0.258
O 0.589 0.099 0.742
O 0.869 0.869 0.079
O 0.901 0.411 0.258

=====

[5]
Structure and computed powder XRD pattern of La2SbN (DFT lattice parameters and positions (PBE); copper Kα).
No peak broadening, texture or thermal motion is included.

Largest 10 diffraction maxima, low angle first, 2θ from 10° to 90°:
- 24.2 deg, d 3.681, I = 16
- 29.0 deg, d 3.077, I = 72
- 30.5 deg, d 2.929, I = 100
- 30.7 deg, d 2.911, I = 18
- 31.3 deg, d 2.856, I = 54
- 31.6 deg, d 2.832, I = 55
- 39.8 deg, d 2.265, I = 33
- 51.7 deg, d 1.769, I = 28
- 56.5 deg, d 1.629, I = 16
- 60.6 deg, d 1.527, I = 15

Cell and atoms:
abc: 7.681 4.529 12.582
angles: 90.00 90.00 90.00
Positions (direct):
La 0.091 0.250 0.246
La 0.172 0.250 0.958
La 0.328 0.750 0.458
La 0.409 0.750 0.746
La 0.591 0.250 0.254
La 0.672 0.250 0.542
La 0.828 0.750 0.042
La 0.909 0.750 0.754
Sb 0.138 0.250 0.640
Sb 0.362 0.750 0.140
Sb 0.638 0.250 0.860
Sb 0.862 0.750 0.360
N 0.051 0.750 0.909
N 0.449 0.250 0.409
N 0.551 0.750 0.591
N 0.949 0.250 0.091

=====

[6]
Structure and computed powder XRD pattern of Cu2RhBr5 (DFT lattice parameters and positions (PBE); copper Kα).
No peak broadening, texture or thermal motion is included.

Largest 10 diffraction maxima, low angle first, 2θ from 10° to 90°:
- 13.1 deg, d 6.763, I = 83
- 13.9 deg, d 6.389, I = 71
- 19.1 deg, d 4.656, I = 100
- 25.9 deg, d 3.435, I = 41
- 27.0 deg, d 3.301, I = 38
- 29.8 deg, d 3.003, I = 40
- 31.1 deg, d 2.876, I = 69
- 34.2 deg, d 2.624, I = 50
- 36.8 deg, d 2.443, I = 46
- 45.9 deg, d 1.976, I = 58

Cell and atoms:
abc: 5.257 6.886 7.173
angles: 88.25 71.30 68.78
Positions (direct):
Cu 0.000 0.000 0.000
Cu 0.455 0.348 0.461
Rh 0.429 0.400 0.002
Br 0.181 0.624 0.327
Br 0.376 0.711 0.811
Br 0.506 0.077 0.199
Br 0.687 0.173 0.675
Br 0.942 0.364 0.033

=====

Please write out number 4 again, unchanged.
Structure and computed powder XRD pattern of PaTl2Hg2O6 (DFT lattice parameters and positions (PBE); copper Kα).
No peak broadening, texture or thermal motion is included.

Largest 10 diffraction maxima, low angle first, 2θ from 10° to 90°:
- 26.9 deg, d 3.314, I = 100
- 28.0 deg, d 3.182, I = 80
- 29.5 deg, d 3.027, I = 42
- 32.8 deg, d 2.732, I = 16
- 33.1 deg, d 2.706, I = 23
- 34.0 deg, d 2.636, I = 15
- 44.7 deg, d 2.028, I = 18
- 44.9 deg, d 2.017, I = 26
- 50.8 deg, d 1.798, I = 18
- 51.5 deg, d 1.776, I = 17

Cell and atoms:
abc: 6.692 6.692 8.429
angles: 127.14 127.14 53.79
Positions (direct):
Pa 0.000 0.000 0.000
Tl 0.379 0.379 0.550
Tl 0.621 0.621 0.450
Hg 0.254 0.254 0.832
Hg 0.746 0.746 0.168
O 0.099 0.589 0.742
O 0.131 0.131 0.921
O 0.411 0.901 0.258
O 0.589 0.099 0.742
O 0.869 0.869 0.079
O 0.901 0.411 0.258